Record 1
This entry pairs a crystal structure of BaCu6As2 with its simulated XRD peak list. Radiation: copper Kα. Structure: DFT lattice parameters and positions (GGA-PBE).

Structure:
```
BaCu6As2
1.0
4.2095 0.0000 0.0000
0.0000 4.2095 0.0000
0.0000 0.0000 8.7187
Ba Cu As
1 6 2
direct
0.0000 0.0000 0.0000
0.0000 0.0000 0.5000
0.0000 0.5000 0.3365
0.0000 0.5000 0.6635
0.5000 0.0000 0.3365
0.5000 0.0000 0.6635
0.5000 0.5000 0.5000
0.5000 0.5000 0.1956
0.5000 0.5000 0.8044
```

Largest 8 diffraction maxima, sorted by position, 5° ≤ 2θ ≤ 70°:
10.15 deg, intensity 32.1
29.50 deg, intensity 72.8
31.77 deg, intensity 33.5
36.55 deg, intensity 50.5
37.61 deg, intensity 41.5
42.97 deg, intensity 100.0
43.52 deg, intensity 67.6
52.00 deg, intensity 47.5

Record 2
This entry pairs a crystal structure of BaCu2As2O8 with its simulated XRD peak list. Radiation: copper Kα. Structure: DFT lattice parameters and positions (GGA-PBE).

Structure:
```
BaCu2As2O8
1.0
4.7634 0.0000 0.0000
0.0000 8.8767 0.0000
-4.3756 0.0000 9.0493
Ba Cu As O
2 4 4 16
direct
0.0000 0.0000 0.0000
0.0000 0.5000 0.5000
0.1051 0.0824 0.6524
0.1051 0.4176 0.1524
0.8949 0.5824 0.8476
0.8949 0.9176 0.3476
0.3734 0.1843 0.4219
0.3734 0.3157 0.9219
0.6266 0.6843 0.0781
0.6266 0.8157 0.5781
0.0835 0.0838 0.2809
0.0835 0.4162 0.7809
0.2743 0.5985 0.0375
0.2743 0.9015 0.5375
0.3127 0.2255 0.5762
0.3127 0.2745 0.0762
0.3852 0.1317 0.8618
0.3852 0.3683 0.3618
0.6148 0.6317 0.6382
0.6148 0.8683 0.1382
0.6873 0.7255 0.9238
0.6873 0.7745 0.4238
0.7257 0.0985 0.4625
0.7257 0.4015 0.9625
0.9165 0.5838 0.2191
0.9165 0.9162 0.7191
```

Largest 8 diffraction maxima, sorted by position, 5° ≤ 2θ ≤ 70°:
19.62 deg, intensity 42.6
23.03 deg, intensity 57.1
28.95 deg, intensity 80.2
29.55 deg, intensity 100.0
31.32 deg, intensity 36.5
31.82 deg, intensity 52.4
37.36 deg, intensity 30.4
44.77 deg, intensity 31.2

Record 3
This entry pairs a crystal structure of Ba2Cu7As6O24 with its simulated XRD peak list. Radiation: copper Kα. Structure: DFT lattice parameters and positions (GGA-PBE).

Structure:
```
Ba2Cu7As6O24
1.0
5.3141 0.0000 0.0000
0.6076 8.5614 0.0000
0.1782 0.0879 11.5771
Ba Cu As O
2 7 6 24
direct
0.0027 0.4490 0.1748
0.9973 0.5510 0.8252
0.0000 0.0000 0.0000
0.0000 0.5000 0.5000
0.4589 0.0813 0.1826
0.4758 0.7291 0.3332
0.5000 0.0000 0.5000
0.5242 0.2709 0.6668
0.5411 0.9187 0.8174
0.0234 0.0749 0.7223
0.4613 0.7385 0.0558
0.4761 0.6613 0.6103
0.5239 0.3387 0.3897
0.5387 0.2615 0.9442
0.9766 0.9251 0.2777
0.1204 0.7370 0.2793
0.1782 0.0129 0.8514
0.1918 0.0572 0.3112
0.2070 0.3947 0.3847
0.2355 0.6215 0.0153
0.2782 0.0924 0.6268
0.3012 0.4972 0.6015
0.3083 0.9253 0.0854
0.3132 0.2415 0.0491
0.3840 0.7874 0.4963
0.3937 0.7428 0.7412
0.3967 0.3302 0.8174
0.6033 0.6698 0.1826
0.6063 0.2572 0.2588
0.6160 0.2126 0.5037
0.6868 0.7585 0.9509
0.6917 0.0747 0.9146
0.6988 0.5028 0.3985
0.7218 0.9076 0.3732
0.7645 0.3785 0.9847
0.7930 0.6053 0.6153
0.8082 0.9428 0.6888
0.8218 0.9871 0.1486
0.8796 0.2630 0.7207
```

Largest 8 diffraction maxima, sorted by position, 5° ≤ 2θ ≤ 70°:
25.81 deg, intensity 85.0
27.70 deg, intensity 99.8
30.34 deg, intensity 100.0
30.78 deg, intensity 67.8
31.06 deg, intensity 52.6
31.33 deg, intensity 50.0
32.58 deg, intensity 59.2
33.82 deg, intensity 85.4

Record 4
This entry pairs a crystal structure of BaZn2Cu2As3 with its simulated XRD peak list. Radiation: copper Kα. Structure: DFT lattice parameters and positions (GGA-PBE).

Structure:
```
BaZn2Cu2As3
1.0
2.1050 -6.3756 0.0000
2.1050 6.3756 0.0000
0.0000 0.0000 12.1831
Ba Zn Cu As
2 4 4 6
direct
0.1841 0.8159 0.7500
0.8159 0.1841 0.2500
0.1674 0.8326 0.0584
0.1674 0.8326 0.4416
0.8326 0.1674 0.5584
0.8326 0.1674 0.9416
0.4580 0.5420 0.6439
0.4580 0.5420 0.8561
0.5420 0.4580 0.1439
0.5420 0.4580 0.3561
0.0891 0.9109 0.2500
0.3748 0.6252 0.0456
0.3748 0.6252 0.4544
0.6252 0.3748 0.5456
0.6252 0.3748 0.9544
0.9109 0.0891 0.7500
```

Largest 8 diffraction maxima, sorted by position, 5° ≤ 2θ ≤ 70°:
26.67 deg, intensity 36.6
28.95 deg, intensity 54.5
29.87 deg, intensity 59.6
31.40 deg, intensity 100.0
37.11 deg, intensity 38.1
42.97 deg, intensity 65.1
47.30 deg, intensity 53.5
48.17 deg, intensity 46.2

Record 5
This entry pairs a crystal structure of BaAs2F12 with its simulated XRD peak list. Radiation: copper Kα. Structure: DFT lattice parameters and positions (GGA-PBE).

Structure:
```
BaAs2F12
1.0
10.2885 0.0000 0.0000
0.0000 10.2885 0.0000
0.0000 0.0000 10.2885
Ba As F
4 8 48
direct
0.0000 0.0000 0.0000
0.0000 0.0000 0.5000
0.0000 0.5000 0.0000
0.5000 0.0000 0.0000
0.2500 0.2500 0.2500
0.2500 0.2500 0.7500
0.2500 0.7500 0.2500
0.2500 0.7500 0.7500
0.7500 0.2500 0.2500
0.7500 0.2500 0.7500
0.7500 0.7500 0.2500
0.7500 0.7500 0.7500
0.1295 0.1295 0.2990
0.1295 0.1295 0.7010
0.1295 0.2990 0.1295
0.1295 0.2990 0.8705
0.1295 0.7010 0.1295
0.1295 0.7010 0.8705
0.1295 0.8705 0.2990
0.1295 0.8705 0.7010
0.1880 0.3634 0.3634
0.1880 0.3634 0.6366
0.1880 0.6366 0.3634
0.1880 0.6366 0.6366
0.2990 0.1295 0.1295
0.2990 0.1295 0.8705
0.2990 0.8705 0.1295
0.2990 0.8705 0.8705
0.3634 0.1880 0.3634
0.3634 0.1880 0.6366
0.3634 0.3634 0.1880
0.3634 0.3634 0.8120
0.3634 0.6366 0.1880
0.3634 0.6366 0.8120
0.3634 0.8120 0.3634
0.3634 0.8120 0.6366
0.6366 0.1880 0.3634
0.6366 0.1880 0.6366
0.6366 0.3634 0.1880
0.6366 0.3634 0.8120
0.6366 0.6366 0.1880
0.6366 0.6366 0.8120
0.6366 0.8120 0.3634
0.6366 0.8120 0.6366
0.7010 0.1295 0.1295
0.7010 0.1295 0.8705
0.7010 0.8705 0.1295
0.7010 0.8705 0.8705
0.8120 0.3634 0.3634
0.8120 0.3634 0.6366
0.8120 0.6366 0.3634
0.8120 0.6366 0.6366
0.8705 0.1295 0.2990
0.8705 0.1295 0.7010
0.8705 0.2990 0.1295
0.8705 0.2990 0.8705
0.8705 0.7010 0.1295
0.8705 0.7010 0.8705
0.8705 0.8705 0.2990
0.8705 0.8705 0.7010
```

Largest 8 diffraction maxima, sorted by position, 5° ≤ 2θ ≤ 70°:
8.59 deg, intensity 30.2
17.24 deg, intensity 14.7
19.29 deg, intensity 15.2
24.47 deg, intensity 100.0
43.07 deg, intensity 36.8
50.16 deg, intensity 16.8
56.58 deg, intensity 15.1
68.21 deg, intensity 22.5

Record 6
This entry pairs a crystal structure of BaFe2As2 with its simulated XRD peak list. Radiation: copper Kα. Structure: DFT lattice parameters and positions (GGA-PBE).

Structure:
```
BaFe2As2
1.0
6.8626 -1.9676 0.0000
6.8626 1.9676 0.0000
-2.2046 0.0000 7.5736
Ba Fe As
2 4 4
direct
0.0000 0.0000 0.0000
0.0000 0.0000 0.5000
0.2493 0.2493 0.3822
0.2517 0.2517 0.8757
0.7483 0.7483 0.1243
0.7507 0.7507 0.6178
0.3462 0.3462 0.1729
0.3534 0.3534 0.6823
0.6466 0.6466 0.3177
0.6538 0.6538 0.8271
```

Largest 8 diffraction maxima, sorted by position, 5° ≤ 2θ ≤ 70°:
30.33 deg, intensity 31.2
30.53 deg, intensity 100.0
34.90 deg, intensity 25.2
35.05 deg, intensity 22.4
46.13 deg, intensity 21.5
52.94 deg, intensity 23.6
53.26 deg, intensity 24.0
56.37 deg, intensity 22.5

Record 7
This entry pairs a crystal structure of BaFe2As2 with its simulated XRD peak list. Radiation: copper Kα. Structure: DFT lattice parameters and positions (GGA-PBE).

Structure:
```
BaFe2As2
1.0
0.0000 2.8467 6.4446
2.8002 0.0000 6.4446
2.8002 2.8467 0.0000
Ba Fe As
1 2 2
direct
0.0000 0.0000 0.0000
0.2500 0.2500 0.2500
0.7500 0.7500 0.7500
0.3507 0.3507 0.6493
0.6493 0.6493 0.3507
```

Largest 8 diffraction maxima, sorted by position, 5° ≤ 2θ ≤ 70°:
30.57 deg, intensity 100.0
34.44 deg, intensity 19.4
34.94 deg, intensity 18.6
45.43 deg, intensity 34.6
53.43 deg, intensity 17.9
53.78 deg, intensity 17.5
55.41 deg, intensity 18.2
56.09 deg, intensity 17.5

Record 8
This entry pairs a crystal structure of KBa4Fe10As10 with its simulated XRD peak list. Radiation: copper Kα. Structure: DFT lattice parameters and positions (GGA-PBE).

Structure:
```
KBa4Fe10As10
1.0
-4.4092 4.4092 6.4350
4.4092 -4.4092 6.4350
4.4092 4.4092 -6.4350
K Ba Fe As
1 4 10 10
direct
0.0000 0.0000 0.0000
0.1977 0.3936 0.5913
0.3936 0.8023 0.1959
0.6064 0.1977 0.8041
0.8023 0.6064 0.4087
0.0501 0.3503 0.8995
0.1506 0.0501 0.6998
0.2500 0.7500 0.5000
0.3503 0.4508 0.3002
0.4508 0.1506 0.1005
0.5492 0.8494 0.8995
0.6497 0.5492 0.6998
0.7500 0.2500 0.5000
0.8494 0.9499 0.3002
0.9499 0.6497 0.1005
0.0552 0.4551 0.1992
0.1440 0.9448 0.3999
0.2559 0.8560 0.8008
0.3442 0.3442 0.0000
0.4551 0.2559 0.3999
0.5449 0.7441 0.6001
0.6558 0.6558 0.0000
0.7441 0.1440 0.1992
0.8560 0.0552 0.6001
0.9448 0.5449 0.8008
```

Largest 8 diffraction maxima, sorted by position, 5° ≤ 2θ ≤ 70°:
13.76 deg, intensity 10.9
30.80 deg, intensity 100.0
32.10 deg, intensity 14.2
35.07 deg, intensity 30.1
46.03 deg, intensity 33.7
53.93 deg, intensity 38.7
56.41 deg, intensity 34.4
67.13 deg, intensity 10.7